Record 1
This entry pairs a crystal structure of CdBi with its calculated PXRD pattern. Radiation: Cu Kα. Structure: DFT lattice parameters and positions (PBE).
Neutral-atom scattering factors, no anomalous dispersion.

Principal peaks in the range 2θ from 5° to 70°, low angle first:
2θ/deg, I (rel.)
20.23, 100.0
23.85, 77.4
26.72, 78.2
33.01, 52.0
37.93, 46.7
39.88, 53.7
41.13, 37.1
41.75, 53.8
42.96, 45.6
66.15, 42.9

Structure:
abc: 7.460 7.460 5.428
angles: 90.00 90.00 90.00
Sites, in units of the cell vectors:
Cd 0.245 0.245 0.000
Cd 0.255 0.745 0.500
Cd 0.745 0.255 0.500
Cd 0.755 0.755 0.000
Bi 0.152 0.848 0.000
Bi 0.348 0.348 0.500
Bi 0.652 0.652 0.500
Bi 0.848 0.152 0.000


Record 2
This entry pairs a crystal structure of AcPr5Sm5 with its calculated PXRD pattern. Radiation: Cu Kα. Structure: DFT lattice parameters and positions (PBE).
Neutral-atom scattering factors, no anomalous dispersion.

Principal peaks in the range 2θ from 5° to 70°, low angle first:
2θ/deg, I (rel.)
27.95, 100.0
28.20, 85.6
29.22, 32.0
32.68, 18.4
33.58, 23.3
34.58, 24.6
36.15, 33.7
36.47, 27.2
49.77, 40.1
58.32, 27.0

Structure:
abc: 6.329 6.329 11.780
angles: 90.00 90.00 120.00
Sites, in units of the cell vectors:
Ac 0.000 0.000 0.000
Pr 0.000 0.000 0.332
Pr 0.000 0.000 0.668
Pr 0.333 0.667 0.162
Pr 0.333 0.667 0.838
Pr 0.667 0.333 0.000
Sm 0.003 0.502 0.500
Sm 0.498 0.502 0.500
Sm 0.498 0.997 0.500
Sm 0.667 0.333 0.266
Sm 0.667 0.333 0.734


Record 3
This entry pairs a crystal structure of NdDy3Y2 with its calculated PXRD pattern. Radiation: Cu Kα. Structure: DFT lattice parameters and positions (PBE).
Neutral-atom scattering factors, no anomalous dispersion.

Principal peaks in the range 2θ from 5° to 70°, low angle first:
2θ/deg, I (rel.)
19.63, 5.4
30.63, 100.0
31.93, 1.8
35.52, 50.4
40.89, 1.9
48.49, 1.7
51.10, 35.7
60.75, 31.7
60.81, 10.5
63.78, 12.1

Structure:
abc: 9.461 9.461 6.189
angles: 90.08 90.08 44.39
Sites, in units of the cell vectors:
Nd 0.125 0.875 0.750
Nd 0.875 0.125 0.250
Dy 0.042 0.293 0.916
Dy 0.293 0.042 0.416
Dy 0.376 0.624 0.250
Dy 0.624 0.376 0.750
Dy 0.707 0.958 0.584
Dy 0.958 0.707 0.084
Y 0.208 0.458 0.584
Y 0.458 0.208 0.084
Y 0.542 0.792 0.916
Y 0.792 0.542 0.416


Record 4
This entry pairs a crystal structure of CdHg5H with its calculated PXRD pattern. Radiation: Cu Kα. Structure: DFT lattice parameters and positions (PBE).
Neutral-atom scattering factors, no anomalous dispersion.

Principal peaks in the range 2θ from 5° to 70°, low angle first:
2θ/deg, I (rel.)
28.02, 100.0
31.59, 95.4
32.03, 91.3
35.14, 67.7
39.65, 20.6
39.88, 26.3
40.42, 55.2
40.65, 27.3
40.89, 20.8
54.45, 20.8

Structure:
abc: 6.514 6.744 7.998
angles: 78.34 77.93 88.51
Sites, in units of the cell vectors:
Cd 0.168 0.160 0.362
Cd 0.832 0.840 0.638
Hg 0.170 0.665 0.349
Hg 0.212 0.490 0.012
Hg 0.282 0.005 0.012
Hg 0.329 0.836 0.664
Hg 0.330 0.336 0.654
Hg 0.670 0.664 0.346
Hg 0.671 0.164 0.336
Hg 0.718 0.995 0.988
Hg 0.788 0.510 0.988
Hg 0.830 0.335 0.651
H 0.000 0.000 0.000
H 0.500 0.500 0.000


Record 5
This entry pairs a crystal structure of Y4CdGa12 with its calculated PXRD pattern. Radiation: Cu Kα. Structure: DFT lattice parameters and positions (PBE).
Neutral-atom scattering factors, no anomalous dispersion.

Principal peaks in the range 2θ from 5° to 70°, low angle first:
2θ/deg, I (rel.)
28.75, 19.7
32.24, 14.8
35.41, 100.0
38.35, 27.5
41.12, 72.3
43.73, 16.2
48.63, 22.5
59.55, 35.9
65.53, 5.5
67.45, 10.0

Structure:
abc: 7.605 7.605 7.605
angles: 109.47 109.47 109.47
Sites, in units of the cell vectors:
Y 0.000 0.000 0.500
Y 0.000 0.500 0.000
Y 0.500 0.000 0.000
Y 0.500 0.500 0.500
Cd 0.000 0.000 0.000
Ga 0.000 0.313 0.313
Ga 0.000 0.687 0.687
Ga 0.250 0.500 0.750
Ga 0.250 0.750 0.500
Ga 0.313 0.000 0.313
Ga 0.313 0.313 0.000
Ga 0.500 0.250 0.750
Ga 0.500 0.750 0.250
Ga 0.687 0.000 0.687
Ga 0.687 0.687 0.000
Ga 0.750 0.250 0.500
Ga 0.750 0.500 0.250


Record 6
This entry pairs a crystal structure of MoS2 with its calculated PXRD pattern. Radiation: Cu Kα. Structure: DFT lattice parameters and positions (PBE).
Neutral-atom scattering factors, no anomalous dispersion.

Principal peaks in the range 2θ from 5° to 70°, low angle first:
2θ/deg, I (rel.)
12.51, 100.0
32.41, 17.0
33.52, 6.1
34.87, 14.4
36.68, 10.4
38.90, 29.1
44.36, 7.6
47.51, 21.6
57.82, 11.5
59.41, 9.7

Structure:
abc: 3.189 3.189 21.229
angles: 90.00 90.00 120.00
Sites, in units of the cell vectors:
Mo 0.000 0.000 0.000
Mo 0.333 0.667 0.325
Mo 0.333 0.667 0.675
S 0.000 0.000 0.251
S 0.000 0.000 0.399
S 0.000 0.000 0.601
S 0.000 0.000 0.749
S 0.333 0.667 0.073
S 0.333 0.667 0.927


Record 7
This entry pairs a crystal structure of HoEr4Zn4 with its calculated PXRD pattern. Radiation: Cu Kα. Structure: DFT lattice parameters and positions (PBE).
Neutral-atom scattering factors, no anomalous dispersion.

Principal peaks in the range 2θ from 5° to 70°, low angle first:
2θ/deg, I (rel.)
27.01, 65.6
31.73, 100.0
32.05, 48.0
38.02, 27.1
43.28, 20.6
45.49, 33.0
48.07, 27.9
52.52, 17.0
53.70, 22.8
64.62, 12.9

Structure:
abc: 8.918 8.918 5.881
angles: 90.00 90.00 90.00
Sites, in units of the cell vectors:
Ho 0.250 0.250 0.250
Ho 0.750 0.750 0.750
Er 0.064 0.661 0.139
Er 0.161 0.936 0.639
Er 0.339 0.564 0.639
Er 0.436 0.839 0.139
Er 0.564 0.161 0.861
Er 0.661 0.436 0.361
Er 0.839 0.064 0.361
Er 0.936 0.339 0.861
Zn 0.022 0.617 0.627
Zn 0.117 0.978 0.127
Zn 0.383 0.522 0.127
Zn 0.478 0.883 0.627
Zn 0.522 0.117 0.373
Zn 0.617 0.478 0.873
Zn 0.883 0.022 0.873
Zn 0.978 0.383 0.373


Record 8
This entry pairs a crystal structure of Li5Ge with its calculated PXRD pattern. Radiation: Cu Kα. Structure: DFT lattice parameters and positions (PBE).
Neutral-atom scattering factors, no anomalous dispersion.

Principal peaks in the range 2θ from 5° to 70°, low angle first:
2θ/deg, I (rel.)
16.27, 72.5
22.82, 88.8
28.15, 100.0
40.07, 41.8
40.40, 64.5
43.52, 35.2
49.69, 20.5
55.86, 17.0
58.22, 21.7
65.66, 17.4

Structure:
abc: 7.796 4.499 5.447
angles: 90.00 90.08 90.00
Sites, in units of the cell vectors:
Li 0.000 0.000 0.000
Li 0.167 0.500 0.308
Li 0.167 0.500 0.752
Li 0.333 0.000 0.248
Li 0.333 0.000 0.692
Li 0.500 0.500 0.000
Li 0.667 0.000 0.308
Li 0.667 0.000 0.752
Li 0.833 0.500 0.248
Li 0.833 0.500 0.692
Ge 0.000 0.000 0.500
Ge 0.500 0.500 0.500


Record 9
This entry pairs a crystal structure of TbCu3O4 with its calculated PXRD pattern. Radiation: Cu Kα. Structure: DFT lattice parameters and positions (PBE).
Neutral-atom scattering factors, no anomalous dispersion.

Principal peaks in the range 2θ from 5° to 70°, low angle first:
2θ/deg, I (rel.)
22.25, 31.7
31.67, 21.5
35.53, 48.8
39.05, 100.0
45.40, 14.3
51.12, 7.3
56.41, 2.1
58.93, 10.3
61.39, 51.7
66.15, 16.8

Structure:
abc: 5.650 5.650 5.650
angles: 90.00 90.00 90.00
Sites, in units of the cell vectors:
Tb 0.000 0.000 0.000
Tb 0.500 0.500 0.500
Cu 0.000 0.250 0.500
Cu 0.000 0.750 0.500
Cu 0.250 0.500 0.000
Cu 0.500 0.000 0.250
Cu 0.500 0.000 0.750
Cu 0.750 0.500 0.000
O 0.250 0.250 0.250
O 0.250 0.250 0.750
O 0.250 0.750 0.250
O 0.250 0.750 0.750
O 0.750 0.250 0.250
O 0.750 0.250 0.750
O 0.750 0.750 0.250
O 0.750 0.750 0.750


Record 10
This entry pairs a crystal structure of ScSi2Ni2Ir with its calculated PXRD pattern. Radiation: Cu Kα. Structure: DFT lattice parameters and positions (PBE).
Neutral-atom scattering factors, no anomalous dispersion.

Principal peaks in the range 2θ from 5° to 70°, low angle first:
2θ/deg, I (rel.)
17.39, 66.2
19.69, 24.9
26.39, 48.2
27.99, 97.0
40.00, 70.0
40.66, 100.0
43.92, 24.9
48.56, 19.8
57.85, 23.0
58.35, 67.1

Structure:
abc: 4.508 4.508 5.098
angles: 90.00 90.00 90.00
Sites, in units of the cell vectors:
Sc 0.000 0.000 0.000
Si 0.000 0.500 0.500
Si 0.500 0.000 0.500
Ni 0.500 0.500 0.250
Ni 0.500 0.500 0.750
Ir 0.000 0.000 0.500


Record 11
This entry pairs a crystal structure of Er2Be15Cu2 with its calculated PXRD pattern. Radiation: Cu Kα. Structure: DFT lattice parameters and positions (PBE).
Neutral-atom scattering factors, no anomalous dispersion.

Principal peaks in the range 2θ from 5° to 70°, low angle first:
2θ/deg, I (rel.)
22.83, 100.0
32.93, 32.1
34.16, 23.0
40.09, 28.4
41.48, 15.2
46.64, 20.9
46.95, 15.8
47.87, 21.2
63.15, 12.9
68.34, 13.6

Structure:
abc: 5.888 5.888 5.888
angles: 82.84 82.84 82.84
Sites, in units of the cell vectors:
Er 0.157 0.157 0.157
Er 0.843 0.843 0.843
Be 0.000 0.500 0.500
Be 0.163 0.163 0.657
Be 0.163 0.657 0.163
Be 0.220 0.500 0.780
Be 0.220 0.780 0.500
Be 0.343 0.837 0.837
Be 0.500 0.000 0.500
Be 0.500 0.220 0.780
Be 0.500 0.500 0.000
Be 0.500 0.780 0.220
Be 0.657 0.163 0.163
Be 0.780 0.220 0.500
Be 0.780 0.500 0.220
Be 0.837 0.343 0.837
Be 0.837 0.837 0.343
Cu 0.396 0.396 0.396
Cu 0.604 0.604 0.604


Record 12
This entry pairs a crystal structure of Hg3Pd3Se8 with its calculated PXRD pattern. Radiation: Cu Kα. Structure: DFT lattice parameters and positions (PBE).
Neutral-atom scattering factors, no anomalous dispersion.

Principal peaks in the range 2θ from 5° to 70°, low angle first:
2θ/deg, I (rel.)
22.46, 50.2
26.39, 100.0
31.96, 27.6
39.45, 11.6
41.87, 15.7
41.93, 50.1
45.77, 39.0
45.89, 46.8
53.70, 11.2
66.82, 11.6

Structure:
abc: 7.930 7.930 7.930
angles: 59.83 59.83 59.83
Sites, in units of the cell vectors:
Hg 0.000 0.000 0.000
Hg 0.378 0.378 0.378
Hg 0.622 0.622 0.622
Pd 0.000 0.000 0.500
Pd 0.000 0.500 0.000
Pd 0.500 0.000 0.000
Se 0.201 0.752 0.752
Se 0.233 0.233 0.233
Se 0.248 0.248 0.799
Se 0.248 0.799 0.248
Se 0.752 0.201 0.752
Se 0.752 0.752 0.201
Se 0.767 0.767 0.767
Se 0.799 0.248 0.248


Record 13
This entry pairs a crystal structure of CaAl2O4F4 with its calculated PXRD pattern. Radiation: Cu Kα. Structure: DFT lattice parameters and positions (PBE).
Neutral-atom scattering factors, no anomalous dispersion.

Principal peaks in the range 2θ from 5° to 70°, low angle first:
2θ/deg, I (rel.)
19.64, 100.0
27.87, 40.1
30.70, 12.3
36.13, 11.9
40.30, 17.2
42.40, 20.7
44.33, 10.4
45.75, 22.2
46.80, 10.1
49.23, 17.6

Structure:
abc: 6.436 6.436 7.971
angles: 93.01 93.01 114.77
Sites, in units of the cell vectors:
Ca 0.034 0.966 0.750
Ca 0.966 0.034 0.250
Al 0.000 0.500 0.000
Al 0.386 0.614 0.750
Al 0.500 0.000 0.500
Al 0.614 0.386 0.250
O 0.074 0.559 0.778
O 0.317 0.608 0.979
O 0.392 0.683 0.521
O 0.441 0.926 0.722
O 0.559 0.074 0.278
O 0.608 0.317 0.479
O 0.683 0.392 0.021
O 0.926 0.441 0.222
F 0.039 0.805 0.036
F 0.195 0.961 0.464
F 0.307 0.316 0.720
F 0.316 0.307 0.220
F 0.684 0.693 0.780
F 0.693 0.684 0.280
F 0.805 0.039 0.536
F 0.961 0.195 0.964